Entry 1:
Computed X-ray diffraction stick pattern of ScGeRu for Cu Kα (weighted mean of Kα1 and Kα2), from DFT lattice parameters and positions (PBE).
Intensities are scaled so that the largest is 100.

Cell lengths 12.4066, 3.4607, 6.9410 Å; angles 90.00, 90.00, 90.00 degrees
Fractional positions:
Sc (0.0454, 0.0000, 0.2329)
Sc (0.2500, 0.0000, 0.6636)
Sc (0.4546, 0.0000, 0.2329)
Sc (0.5454, 0.0000, 0.7671)
Sc (0.7500, 0.0000, 0.3364)
Sc (0.9546, 0.0000, 0.7671)
Ge (0.0947, 0.5000, 0.5570)
Ge (0.2500, 0.0000, 0.0583)
Ge (0.4053, 0.5000, 0.5570)
Ge (0.5947, 0.5000, 0.4430)
Ge (0.7500, 0.0000, 0.9417)
Ge (0.9053, 0.5000, 0.4430)
Ru (0.1240, 0.5000, 0.9284)
Ru (0.2500, 0.5000, 0.3105)
Ru (0.3760, 0.5000, 0.9284)
Ru (0.6240, 0.5000, 0.0716)
Ru (0.7500, 0.5000, 0.6895)
Ru (0.8760, 0.5000, 0.0716)

Peak list (10 most intense, 5° ≤ 2θ ≤ 70°, low angle first)
2theta  Rel. int.
25.73  50.4
36.24  91.8
36.67  25.3
37.41  50.2
38.97  100.0
39.57  64.0
44.89  45.9
47.27  41.5
47.86  44.1
52.91  39.7

Entry 2:
Computed X-ray diffraction stick pattern of Pr4AlCu2 for Cu Kα (weighted mean of Kα1 and Kα2), from DFT lattice parameters and positions (PBE).
Intensities are scaled so that the largest is 100.

Cell lengths 9.0355, 9.0355, 9.0355 Å; angles 33.04, 33.04, 33.04 degrees
Fractional positions:
Pr (0.1216, 0.1216, 0.1216)
Pr (0.2898, 0.2898, 0.2898)
Pr (0.7102, 0.7102, 0.7102)
Pr (0.8784, 0.8784, 0.8784)
Al (0.5000, 0.5000, 0.5000)
Cu (0.4047, 0.4047, 0.4047)
Cu (0.5953, 0.5953, 0.5953)

Peak list (10 most intense, 5° ≤ 2θ ≤ 70°, low angle first)
2theta  Rel. int.
21.13  16.5
24.36  19.7
26.54  55.0
31.66  57.8
34.92  100.0
40.65  24.4
47.85  18.2
56.02  19.0
60.59  17.8
62.62  17.9

Entry 3:
Computed X-ray diffraction stick pattern of Pr5NdDy8 for Cu Kα (weighted mean of Kα1 and Kα2), from DFT lattice parameters and positions (PBE).
Intensities are scaled so that the largest is 100.

Cell lengths 8.9441, 8.9441, 16.9680 Å; angles 117.55, 117.55, 23.04 degrees
Fractional positions:
Pr (0.0000, 0.0000, 0.0000)
Pr (0.2869, 0.2869, 0.3567)
Pr (0.3554, 0.3554, 0.0600)
Pr (0.6446, 0.6446, 0.9400)
Pr (0.7131, 0.7131, 0.6433)
Nd (0.5000, 0.5000, 0.5000)
Dy (0.0781, 0.0781, 0.7228)
Dy (0.1466, 0.1466, 0.4386)
Dy (0.2163, 0.2163, 0.1464)
Dy (0.4188, 0.4188, 0.7762)
Dy (0.5812, 0.5812, 0.2238)
Dy (0.7837, 0.7837, 0.8536)
Dy (0.8534, 0.8534, 0.5614)
Dy (0.9219, 0.9219, 0.2772)

Peak list (10 most intense, 5° ≤ 2θ ≤ 70°, low angle first)
2theta  Rel. int.
29.70  37.8
30.92  100.0
31.10  48.1
32.26  44.7
32.63  43.7
41.16  14.4
47.50  19.1
60.98  14.8
61.08  14.1
61.77  14.3

Entry 4:
Computed X-ray diffraction stick pattern of CsU3S9 for Cu Kα (weighted mean of Kα1 and Kα2), from DFT lattice parameters and positions (PBE).
Intensities are scaled so that the largest is 100.

Cell lengths 9.7522, 9.7522, 5.1014 Å; angles 90.00, 90.00, 120.00 degrees
Fractional positions:
Cs (0.0000, 0.0000, 0.0000)
U (0.0000, 0.5000, 0.5000)
U (0.5000, 0.0000, 0.5000)
U (0.5000, 0.5000, 0.5000)
S (0.0000, 0.5000, 0.0000)
S (0.2027, 0.4054, 0.5000)
S (0.2027, 0.7973, 0.5000)
S (0.4054, 0.2027, 0.5000)
S (0.5000, 0.0000, 0.0000)
S (0.5000, 0.5000, 0.0000)
S (0.5946, 0.7973, 0.5000)
S (0.7973, 0.2027, 0.5000)
S (0.7973, 0.5946, 0.5000)

Peak list (10 most intense, 5° ≤ 2θ ≤ 70°, low angle first)
2theta  Rel. int.
17.38  32.6
20.34  36.6
21.04  100.0
25.27  24.8
27.42  19.6
36.86  37.7
41.35  35.8
42.83  19.6
51.88  27.0
69.47  18.4

Entry 5:
Computed X-ray diffraction stick pattern of La3SCl3 for Cu Kα (weighted mean of Kα1 and Kα2), from DFT lattice parameters and positions (PBE).
Intensities are scaled so that the largest is 100.

Cell lengths 10.0899, 10.0899, 10.0899 Å; angles 109.47, 109.47, 109.47 degrees
Fractional positions:
La (0.0088, 0.0175, 0.2588)
La (0.0088, 0.4912, 0.7500)
La (0.0175, 0.2588, 0.0088)
La (0.2412, 0.2588, 0.7500)
La (0.2412, 0.4825, 0.4912)
La (0.2588, 0.0088, 0.0175)
La (0.2588, 0.7500, 0.2412)
La (0.4825, 0.4912, 0.2412)
La (0.4912, 0.2412, 0.4825)
La (0.4912, 0.7500, 0.0088)
La (0.7500, 0.0088, 0.4912)
La (0.7500, 0.2412, 0.2588)
S (0.0000, 0.2500, 0.5000)
S (0.2500, 0.2500, 0.2500)
S (0.2500, 0.5000, 0.0000)
S (0.5000, 0.0000, 0.2500)
Cl (0.2500, 0.7556, 0.7444)
Cl (0.2500, 0.9944, 0.5056)
Cl (0.5056, 0.2500, 0.9944)
Cl (0.5056, 0.7556, 0.5112)
Cl (0.5112, 0.5056, 0.7556)
Cl (0.7444, 0.2500, 0.7556)
Cl (0.7444, 0.9944, 0.9888)
Cl (0.7556, 0.5112, 0.5056)
Cl (0.7556, 0.7444, 0.2500)
Cl (0.9888, 0.7444, 0.9944)
Cl (0.9944, 0.5056, 0.2500)
Cl (0.9944, 0.9888, 0.7444)

Peak list (10 most intense, 5° ≤ 2θ ≤ 70°, low angle first)
2theta  Rel. int.
10.74  48.7
18.66  11.8
26.50  43.7
28.67  24.3
30.70  100.0
36.16  12.2
39.44  11.0
43.96  69.8
52.07  21.3
54.57  23.4

Entry 6:
Computed X-ray diffraction stick pattern of ScZn4Cd for Cu Kα (weighted mean of Kα1 and Kα2), from DFT lattice parameters and positions (PBE).
Intensities are scaled so that the largest is 100.

Cell lengths 3.7227, 3.7227, 16.5028 Å; angles 90.00, 90.00, 90.00 degrees
Fractional positions:
Sc (0.0000, 0.0000, 0.0000)
Sc (0.5000, 0.5000, 0.5000)
Zn (0.0000, 0.0000, 0.4241)
Zn (0.0000, 0.0000, 0.5759)
Zn (0.0000, 0.5000, 0.1735)
Zn (0.0000, 0.5000, 0.3265)
Zn (0.5000, 0.0000, 0.6735)
Zn (0.5000, 0.0000, 0.8265)
Zn (0.5000, 0.5000, 0.0759)
Zn (0.5000, 0.5000, 0.9241)
Cd (0.0000, 0.5000, 0.7500)
Cd (0.5000, 0.0000, 0.2500)

Peak list (10 most intense, 5° ≤ 2θ ≤ 70°, low angle first)
2theta  Rel. int.
10.72  17.8
24.51  17.3
28.96  16.7
35.81  100.0
36.38  64.5
45.54  46.7
48.93  37.6
55.90  9.7
62.48  24.6
69.07  25.0

Entry 7:
Computed X-ray diffraction stick pattern of LiVSe3 for Cu Kα (weighted mean of Kα1 and Kα2), from DFT lattice parameters and positions (PBE).
Intensities are scaled so that the largest is 100.

Cell lengths 3.0372, 6.4910, 6.5559 Å; angles 119.10, 101.64, 90.89 degrees
Fractional positions:
Li (0.0000, 0.0000, 0.0000)
V (0.1143, 0.6622, 0.2864)
Se (0.4833, 0.6386, 0.9698)
Se (0.6396, 0.3755, 0.3137)
Se (0.7953, 0.9745, 0.5779)

Peak list (10 most intense, 5° ≤ 2θ ≤ 70°, low angle first)
2theta  Rel. int.
15.81  100.0
15.94  48.7
27.49  89.0
27.63  86.6
27.79  91.3
36.23  30.9
41.09  31.8
42.06  35.8
45.77  32.6
47.23  32.0

Entry 8:
Computed X-ray diffraction stick pattern of LaRhO3 for Cu Kα (weighted mean of Kα1 and Kα2), from DFT lattice parameters and positions (PBE).
Intensities are scaled so that the largest is 100.

Cell lengths 5.8842, 7.9403, 5.5154 Å; angles 90.00, 90.00, 90.00 degrees
Fractional positions:
La (0.0702, 0.2500, 0.0204)
La (0.4298, 0.7500, 0.5204)
La (0.5702, 0.2500, 0.4796)
La (0.9298, 0.7500, 0.9796)
Rh (0.0000, 0.0000, 0.5000)
Rh (0.0000, 0.5000, 0.5000)
Rh (0.5000, 0.0000, 0.0000)
Rh (0.5000, 0.5000, 0.0000)
O (0.0315, 0.7500, 0.3946)
O (0.1977, 0.5526, 0.8110)
O (0.1977, 0.9474, 0.8110)
O (0.3023, 0.0526, 0.3110)
O (0.3023, 0.4474, 0.3110)
O (0.4685, 0.2500, 0.8946)
O (0.5315, 0.7500, 0.1054)
O (0.6977, 0.5526, 0.6890)
O (0.6977, 0.9474, 0.6890)
O (0.8023, 0.0526, 0.1890)
O (0.8023, 0.4474, 0.1890)
O (0.9685, 0.2500, 0.6054)

Peak list (10 most intense, 5° ≤ 2θ ≤ 70°, low angle first)
2theta  Rel. int.
24.80  13.3
30.38  20.4
31.66  100.0
32.46  33.5
45.06  18.4
45.70  14.0
50.72  11.5
57.18  11.4
57.41  21.6
66.13  10.0

Entry 9:
Computed X-ray diffraction stick pattern of Cd2Hg3Pb for Cu Kα (weighted mean of Kα1 and Kα2), from DFT lattice parameters and positions (PBE).
Intensities are scaled so that the largest is 100.

Cell lengths 5.8520, 10.0722, 5.3526 Å; angles 90.00, 90.00, 90.00 degrees
Fractional positions:
Cd (0.0000, 0.1637, 0.0000)
Cd (0.0000, 0.8363, 0.0000)
Cd (0.5000, 0.3363, 0.0000)
Cd (0.5000, 0.6637, 0.0000)
Hg (0.0000, 0.0000, 0.5000)
Hg (0.0000, 0.3238, 0.5000)
Hg (0.0000, 0.6762, 0.5000)
Hg (0.5000, 0.1762, 0.5000)
Hg (0.5000, 0.5000, 0.5000)
Hg (0.5000, 0.8238, 0.5000)
Pb (0.0000, 0.5000, 0.0000)
Pb (0.5000, 0.0000, 0.0000)

Peak list (10 most intense, 5° ≤ 2θ ≤ 70°, low angle first)
2theta  Rel. int.
24.23  4.8
30.55  36.3
33.48  28.7
35.08  100.0
45.96  23.9
54.68  6.8
57.27  24.6
60.89  20.7
63.93  8.8
65.65  7.8

Entry 10:
Computed X-ray diffraction stick pattern of Ce3Si2Rh4 for Cu Kα (weighted mean of Kα1 and Kα2), from DFT lattice parameters and positions (PBE).
Intensities are scaled so that the largest is 100.

Cell lengths 5.6846, 5.6846, 8.9519 Å; angles 112.55, 112.55, 41.91 degrees
Fractional positions:
Ce (0.0000, 0.0000, 0.0000)
Ce (0.3626, 0.3626, 0.3044)
Ce (0.6374, 0.6374, 0.6956)
Si (0.3532, 0.3532, 0.6900)
Si (0.6468, 0.6468, 0.3100)
Rh (0.1325, 0.1325, 0.4430)
Rh (0.2940, 0.2940, 0.9227)
Rh (0.7060, 0.7060, 0.0773)
Rh (0.8675, 0.8675, 0.5570)

Peak list (10 most intense, 5° ≤ 2θ ≤ 70°, low angle first)
2theta  Rel. int.
30.36  31.2
33.57  63.2
34.04  21.5
34.98  100.0
35.52  29.4
40.13  54.7
43.13  16.1
44.57  35.8
51.18  17.4
65.92  18.0

Entry 11:
Computed X-ray diffraction stick pattern of TmNb5Ru6 for Cu Kα (weighted mean of Kα1 and Kα2), from DFT lattice parameters and positions (PBE).
Intensities are scaled so that the largest is 100.

Cell lengths 7.0179, 7.0179, 6.7650 Å; angles 90.00, 90.00, 143.20 degrees
Fractional positions:
Tm (0.0000, 0.0000, 0.0000)
Nb (0.0000, 0.0000, 0.5000)
Nb (0.3219, 0.6781, 0.0000)
Nb (0.3345, 0.6655, 0.5000)
Nb (0.6655, 0.3345, 0.5000)
Nb (0.6781, 0.3219, 0.0000)
Ru (0.1700, 0.8300, 0.2729)
Ru (0.1700, 0.8300, 0.7271)
Ru (0.5000, 0.5000, 0.2650)
Ru (0.5000, 0.5000, 0.7350)
Ru (0.8300, 0.1700, 0.2729)
Ru (0.8300, 0.1700, 0.7271)

Peak list (10 most intense, 5° ≤ 2θ ≤ 70°, low angle first)
2theta  Rel. int.
29.91  1.2
31.44  2.5
39.17  100.0
39.98  1.4
40.69  46.0
54.23  9.5
58.36  1.8
58.90  15.0
69.93  7.8
69.98  8.0

Entry 12:
Computed X-ray diffraction stick pattern of LiErCdF6 for Cu Kα (weighted mean of Kα1 and Kα2), from DFT lattice parameters and positions (PBE).
Intensities are scaled so that the largest is 100.

Cell lengths 5.0577, 5.0577, 10.1776 Å; angles 90.00, 90.00, 90.00 degrees
Fractional positions:
Li (0.0000, 0.0000, 0.0000)
Li (0.5000, 0.5000, 0.5000)
Er (0.0000, 0.0000, 0.6620)
Er (0.5000, 0.5000, 0.1620)
Cd (0.0000, 0.0000, 0.3299)
Cd (0.5000, 0.5000, 0.8299)
F (0.1876, 0.1876, 0.8306)
F (0.1969, 0.1969, 0.1556)
F (0.2041, 0.2041, 0.5040)
F (0.2959, 0.7041, 0.0040)
F (0.3031, 0.6969, 0.6556)
F (0.3124, 0.6876, 0.3306)
F (0.6876, 0.3124, 0.3306)
F (0.6969, 0.3031, 0.6556)
F (0.7041, 0.2959, 0.0040)
F (0.7959, 0.7959, 0.5040)
F (0.8031, 0.8031, 0.1556)
F (0.8124, 0.8124, 0.8306)

Peak list (10 most intense, 5° ≤ 2θ ≤ 70°, low angle first)
2theta  Rel. int.
17.43  24.6
19.60  76.8
24.90  100.0
30.55  26.4
31.76  72.0
35.50  16.5
40.87  24.9
48.36  71.9
51.08  19.1
61.41  23.9